Simulated powder XRD pattern
Compound: NdHSO5
Radiation: Cu Kα
Structure: DFT lattice parameters and positions (GGA-PBE)
Intensities are scaled so that the largest is 1000.

Atomic structure:
abc: 4.5161 12.5406 7.1495
angles: 90.00 110.97 90.00
Atoms (fractional coordinates):
1 Nd 0.1614 0.0629 0.2997
2 Nd 0.1614 0.4371 0.7997
3 Nd 0.8386 0.5629 0.2003
4 Nd 0.8386 0.9371 0.7003
5 H 0.2169 0.6538 0.9783
6 H 0.2169 0.8462 0.4783
7 H 0.7831 0.1538 0.5217
8 H 0.7831 0.3462 0.0217
9 S 0.4080 0.1468 0.8892
10 S 0.4080 0.3532 0.3892
11 S 0.5920 0.6468 0.6108
12 S 0.5920 0.8532 0.1108
13 O 0.1971 0.0700 0.9492
14 O 0.1971 0.4300 0.4492
15 O 0.2338 0.2476 0.8228
16 O 0.2338 0.2524 0.3228
17 O 0.2391 0.5835 0.0423
18 O 0.2391 0.9165 0.5423
19 O 0.3007 0.6658 0.4373
20 O 0.3007 0.8342 0.9373
21 O 0.4756 0.0976 0.7195
22 O 0.4756 0.4024 0.2195
23 O 0.5244 0.5976 0.7805
24 O 0.5244 0.9024 0.2805
25 O 0.6993 0.1658 0.0627
26 O 0.6993 0.3342 0.5627
27 O 0.7609 0.0835 0.4577
28 O 0.7609 0.4165 0.9577
29 O 0.7662 0.7476 0.6772
30 O 0.7662 0.7524 0.1772
31 O 0.8029 0.5700 0.5508
32 O 0.8029 0.9300 0.0508

Most intense lines, 10° ≤ 2θ ≤ 90°, low angle first:
14.12 deg, intensity 1000, (0 2 0); 19.42 deg, intensity 478, (0 2 1); 24.98 deg, intensity 422, (1 2 -1); 27.51 deg, intensity 704, (1 0 -2); 29.69 deg, intensity 833, (1 1 1); 30.10 deg, intensity 433, (1 3 0); 31.53 deg, intensity 622, (0 4 1); 40.64 deg, intensity 456, (2 1 -1); 41.15 deg, intensity 379, (0 1 3); 48.48 deg, intensity 388, (1 4 -3)